Entry 1:
Calculated PXRD pattern of K2LiPdF6 for copper Kα, from a cell relaxed with PBE.

Peak list (10 most intense, 2θ = 10–90°, by angle)
Position (°2θ), I/Imax
18.5, 100
30.4, 67
30.8, 32
35.4, 24
36.2, 32
42.8, 24
44.2, 44
47.6, 18
54.5, 24
63.2, 26

Cell: 5.8912 5.8912 5.8912 Å, 121.02 121.02 88.24°
Positions (direct):
K1 0.2500 0.7500 0.5000
K2 0.7500 0.2500 0.5000
Li1 0.0000 0.0000 0.0000
Pd1 0.5000 0.5000 0.0000
F1 0.2391 0.2391 0.0000
F2 0.2564 0.2564 0.5129
F3 0.2564 0.7436 0.0000
F4 0.7436 0.2564 0.0000
F5 0.7436 0.7436 0.4871
F6 0.7609 0.7609 0.0000

=====

Entry 2:
Calculated PXRD pattern of K2LiPdF6 for copper Kα, from a cell relaxed with PBE.

Peak list (10 most intense, 2θ = 10–90°, by angle)
Position (°2θ), I/Imax
18.6, 100
21.5, 25
30.6, 97
36.0, 55
43.8, 69
47.9, 24
54.3, 37
57.9, 18
63.6, 38
88.5, 19

Cell: 5.8486 5.8486 5.8486 Å, 60.00 60.00 60.00°
Positions (direct):
K1 0.2500 0.2500 0.2500
K2 0.7500 0.7500 0.7500
Li1 0.0000 0.0000 0.0000
Pd1 0.5000 0.5000 0.5000
F1 0.2509 0.2509 0.7491
F2 0.2509 0.7491 0.2509
F3 0.2509 0.7491 0.7491
F4 0.7491 0.2509 0.2509
F5 0.7491 0.2509 0.7491
F6 0.7491 0.7491 0.2509